Starting from a DFT-relaxed cell (PBE, Alexandria), the X-ray diffraction stick pattern of PmYHo6 was computed for a wavelength of 1.5418 Å.
No peak broadening, texture or thermal motion is included.

Cell and atoms:
```
data_PmYHo6
_cell_length_a 9.6147
_cell_length_b 9.6147
_cell_length_c 9.7718
_cell_angle_alpha 90.00
_cell_angle_beta 90.00
_cell_angle_gamma 120.00
_symmetry_space_group_name_H-M 'R -3'
_symmetry_Int_Tables_number 148
_symmetry_space_group_name_Hall '-R 3'
loop_
_atom_site_label
_atom_site_fract_x
_atom_site_fract_y
_atom_site_fract_z
_atom_site_occupancy
Pm1 0.0000 0.0000 0.0000 1
Y1 0.0000 0.0000 0.5000 1
Ho1 0.9999 0.2964 0.7487 1
```

Largest 8 diffraction maxima, in order of rising 2θ, 2θ = 5–70°:
- 2θ = 18.46°, d = 4.807 Å, rel. 16
- 2θ = 28.16°, d = 3.169 Å, rel. 25
- 2θ = 29.83°, d = 2.996 Å, rel. 24
- 2θ = 32.25°, d = 2.776 Å, rel. 95
- 2θ = 33.22°, d = 2.697 Å, rel. 100
- 2θ = 33.88°, d = 2.646 Å, rel. 18
- 2θ = 46.98°, d = 1.934 Å, rel. 26
- 2θ = 58.17°, d = 1.586 Å, rel. 31